Record 1
Starting from DFT lattice parameters and positions (PBE), the X-ray diffraction stick pattern of NaCd3Au2 was simulated for Cu Kα, 1.54184 Å.
No peak broadening, texture or thermal motion is included.

Crystal structure
```
data_NaCd3Au2
_chemical_formula_sum 'Na2 Cd6 Au4'
_symmetry_space_group_name_H-M 'P 1'
_symmetry_Int_Tables_number 1
_cell_length_a 8.5038
_cell_length_b 8.5038
_cell_length_c 8.9008
_cell_angle_alpha 121.55
_cell_angle_beta 121.55
_cell_angle_gamma 30.39
loop_
_symmetry_equiv_pos_as_xyz
'x,y,z'
loop_
_atom_site_label
_atom_site_fract_x
_atom_site_fract_y
_atom_site_fract_z
Na1 0.1271 0.1271 0.1268
Na2 0.8729 0.8729 0.8732
Cd1 0.0004 0.0004 0.3422
Cd2 0.9996 0.9996 0.6578
Cd3 0.3195 0.3195 0.1150
Cd4 0.3192 0.3192 0.5227
Cd5 0.6808 0.6808 0.4773
Cd6 0.6805 0.6805 0.8850
Au1 0.1972 0.1972 0.6976
Au2 0.5003 0.5003 0.1513
Au3 0.4997 0.4997 0.8487
Au4 0.8028 0.8028 0.3024
```

The 12 most intense peaks (2θ = 10–90°), by angle:
| Position (°2θ) | I (rel.) |
| --- | --- |
| 21.8 | 45 |
| 22.3 | 50 |
| 25.8 | 23 |
| 34.4 | 29 |
| 34.5 | 52 |
| 38.7 | 100 |
| 39.2 | 26 |
| 40.5 | 40 |
| 42.7 | 24 |
| 43.6 | 28 |
| 66.1 | 28 |
| 72.5 | 22 |

Record 2
Starting from DFT lattice parameters and positions (PBE), the X-ray diffraction stick pattern of Na6Cd2Au was simulated for Cu Kα, 1.54184 Å.
No peak broadening, texture or thermal motion is included.

Crystal structure
```
data_Na6Cd2Au
_chemical_formula_sum 'Na6 Cd2 Au1'
_symmetry_space_group_name_H-M 'P 1'
_symmetry_Int_Tables_number 1
_cell_length_a 10.7890
_cell_length_b 10.7890
_cell_length_c 10.7890
_cell_angle_alpha 28.91
_cell_angle_beta 28.91
_cell_angle_gamma 28.91
loop_
_symmetry_equiv_pos_as_xyz
'x,y,z'
loop_
_atom_site_label
_atom_site_fract_x
_atom_site_fract_y
_atom_site_fract_z
Na1 0.0784 0.0784 0.0784
Na2 0.1942 0.1942 0.1942
Na3 0.3079 0.3079 0.3079
Na4 0.6921 0.6921 0.6921
Na5 0.8058 0.8058 0.8058
Na6 0.9216 0.9216 0.9216
Cd1 0.4108 0.4108 0.4108
Cd2 0.5892 0.5892 0.5892
Au1 0.5000 0.5000 0.5000
```

The 12 most intense peaks (2θ = 10–90°), by angle:
| Position (°2θ) | I (rel.) |
| --- | --- |
| 19.2 | 100 |
| 19.9 | 47 |
| 33.3 | 71 |
| 34.7 | 54 |
| 37.3 | 25 |
| 38.7 | 17 |
| 42.6 | 25 |
| 48.9 | 40 |
| 52.0 | 15 |
| 59.5 | 13 |
| 60.4 | 17 |
| 80.4 | 13 |

Record 3
Starting from DFT lattice parameters and positions (PBE), the X-ray diffraction stick pattern of Na3Cd5Au2 was simulated for Cu Kα, 1.54184 Å.
No peak broadening, texture or thermal motion is included.

Crystal structure
```
data_Na3Cd5Au2
_chemical_formula_sum 'Na6 Cd10 Au4'
_symmetry_space_group_name_H-M 'P 1'
_symmetry_Int_Tables_number 1
_cell_length_a 9.9395
_cell_length_b 9.9395
_cell_length_c 9.9395
_cell_angle_alpha 114.96
_cell_angle_beta 75.63
_cell_angle_gamma 145.70
loop_
_symmetry_equiv_pos_as_xyz
'x,y,z'
loop_
_atom_site_label
_atom_site_fract_x
_atom_site_fract_y
_atom_site_fract_z
Na1 0.1737 0.2119 0.3856
Na2 0.2500 0.2500 0.0000
Na3 0.3263 0.7119 0.0382
Na4 0.6737 0.2881 0.9618
Na5 0.7500 0.7500 0.0000
Na6 0.8263 0.7881 0.6144
Cd1 0.0566 0.7266 0.7832
Cd2 0.0640 0.7500 0.3140
Cd3 0.2500 0.7500 0.5000
Cd4 0.4360 0.7500 0.6860
Cd5 0.4434 0.2266 0.6701
Cd6 0.5566 0.7734 0.3299
Cd7 0.5640 0.2500 0.3140
Cd8 0.7500 0.2500 0.5000
Cd9 0.9360 0.2500 0.6860
Cd10 0.9434 0.2734 0.2168
Au1 0.1686 0.9203 0.0890
Au2 0.3314 0.4203 0.7517
Au3 0.6686 0.5797 0.2483
Au4 0.8314 0.0797 0.9110
```

The 12 most intense peaks (2θ = 10–90°), by angle:
| Position (°2θ) | I (rel.) |
| --- | --- |
| 16.6 | 37 |
| 18.9 | 33 |
| 20.1 | 35 |
| 20.7 | 65 |
| 23.2 | 40 |
| 32.2 | 31 |
| 34.3 | 25 |
| 36.1 | 54 |
| 37.4 | 100 |
| 38.3 | 43 |
| 43.1 | 34 |
| 58.8 | 27 |